Record 1
Structure and calculated powder diffraction line list of Tb3Er2Th3 (a PBE-relaxed structure; Cu Kα (λ = 1.5418 Å)).
Intensities are scaled so that the largest is 100.

abc: 5.0102 5.0311 10.0791
angles: 90.00 90.00 90.00
Space group Pmmm (No. 47)
Asymmetric unit:
Tb 0.0000 0.0000 0.0000 [1 per cell]
Tb 0.0000 0.0000 0.5000 [1 per cell]
Tb 0.5000 0.5000 0.0000 [1 per cell]
Er 0.5000 0.0000 0.2517 [2 per cell]
Th 0.0000 0.5000 0.2505 [2 per cell]
Th 0.5000 0.5000 0.5000 [1 per cell]

Principal peaks in the range 10° ≤ 2θ ≤ 80°, by angle:
| 2θ (°) | intensity | index |
| --- | --- | --- |
| 30.81 | 100 | 1 1 2 |
| 35.66 | 34 | 0 2 0 |
| 35.85 | 17 | 2 0 0 |
| 51.32 | 12 | 0 2 4 |
| 51.46 | 24 | 2 2 0 |
| 61.06 | 29 | 1 3 2 |
| 61.31 | 14 | 3 1 2 |
| 64.18 | 13 | 2 2 4 |
| 75.45 | 2 | 0 0 8 |
| 75.60 | 2 | 0 4 0 |

Record 2
Structure and calculated powder diffraction line list of Sm3Th3Ga4 (a PBE-relaxed structure; Cu Kα (λ = 1.5418 Å)).
Intensities are scaled so that the largest is 100.

abc: 4.3158 11.1052 11.1813
angles: 90.00 90.00 90.00
Space group Amm2 (No. 38)
Asymmetric unit:
Sm 0.0000 0.0000 0.0000 [2 per cell]
Sm 0.0000 0.1764 0.6772 [4 per cell]
Th 0.0000 0.0000 0.3540 [2 per cell]
Th 0.5000 0.2491 0.4267 [4 per cell]
Ga 0.5000 0.0000 0.5614 [2 per cell]
Ga 0.5000 0.0000 0.7951 [2 per cell]
Ga 0.5000 0.1177 0.1769 [4 per cell]

Principal peaks in the range 10° ≤ 2θ ≤ 80°, by angle:
| 2θ (°) | intensity | index |
| --- | --- | --- |
| 26.13 | 34 | 1 2 0 |
| 30.73 | 100 | 1 2 2 |
| 32.76 | 53 | 1 1 3 |
| 32.87 | 47 | 1 3 1 |
| 35.97 | 31 | 0 2 4 |
| 36.12 | 33 | 0 4 2 |
| 41.85 | 33 | 2 0 0 |
| 53.59 | 19 | 1 0 6 |
| 53.87 | 21 | 1 6 0 |
| 56.48 | 22 | 2 4 2 |

Record 3
Structure and calculated powder diffraction line list of Ta3V2W6 (a PBE-relaxed structure; Cu Kα (λ = 1.5418 Å)).
Intensities are scaled so that the largest is 100.

abc: 3.1723 4.5586 12.6035
angles: 90.00 93.04 90.00
Space group P2/m (No. 10)
Asymmetric unit:
Ta 0.0000 0.0000 0.0000 [1 per cell]
Ta 0.2295 0.0000 0.4054 [2 per cell]
V 0.3119 0.5000 0.9239 [2 per cell]
W 0.1859 0.5000 0.2324 [2 per cell]
W 0.2695 0.5000 0.5913 [2 per cell]
W 0.3201 0.0000 0.7822 [2 per cell]

Principal peaks in the range 10° ≤ 2θ ≤ 80°, by angle:
| 2θ (°) | intensity | index |
| --- | --- | --- |
| 35.67 | 40 | 0 0 5 |
| 38.00 | 66 | 1 1 2 |
| 39.54 | 52 | 0 2 0 |
| 39.98 | 100 | 1 1 -3 |
| 41.64 | 33 | 1 1 3 |
| 43.13 | 14 | 0 0 6 |
| 54.30 | 24 | 0 2 5 |
| 58.30 | 16 | 2 0 -1 |
| 72.02 | 18 | 1 3 -3 |
| 72.74 | 18 | 2 2 -1 |

Record 4
Structure and calculated powder diffraction line list of BaAl (a PBE-relaxed structure; Cu Kα (λ = 1.5418 Å)).
Intensities are scaled so that the largest is 100.

abc: 6.5717 6.6450 13.0752
angles: 90.00 90.00 90.00
Space group P2_12_12_1 (No. 19)
Asymmetric unit:
Ba 0.1134 0.0730 0.4779 [4 per cell]
Ba 0.1330 0.6637 0.6722 [4 per cell]
Al 0.1162 0.5756 0.3857 [4 per cell]
Al 0.1236 0.8324 0.2261 [4 per cell]

Principal peaks in the range 10° ≤ 2θ ≤ 80°, by angle:
| 2θ (°) | intensity | index |
| --- | --- | --- |
| 20.18 | 31 | 1 1 1 |
| 23.40 | 50 | 1 1 2 |
| 24.43 | 48 | 0 1 3 |
| 28.00 | 100 | 2 0 1 |
| 30.15 | 40 | 1 2 0 |
| 30.54 | 23 | 1 0 4 |
| 30.92 | 31 | 1 2 1 |
| 33.40 | 52 | 2 1 2 |
| 44.01 | 16 | 0 2 5 |
| 52.10 | 18 | 3 1 4 |

Record 5
Structure and calculated powder diffraction line list of Sr9As3N2 (a PBE-relaxed structure; Cu Kα (λ = 1.5418 Å)).
Intensities are scaled so that the largest is 100.

abc: 7.2995 7.2995 8.9435
angles: 90.00 90.00 120.00
Space group P-3m1 (No. 164)
Asymmetric unit:
Sr 0.0000 0.5000 0.0000 [3 per cell]
Sr 0.1711 0.3422 0.6734 [6 per cell]
As 0.0000 0.0000 0.0000 [1 per cell]
As 0.3333 0.6667 0.3323 [2 per cell]
N 0.3333 0.6667 0.8296 [2 per cell]

Principal peaks in the range 10° ≤ 2θ ≤ 80°, by angle:
| 2θ (°) | intensity | index |
| --- | --- | --- |
| 14.01 | 1 | 1 0 0 |
| 17.18 | 2 | 0 1 1 |
| 29.98 | 100 | 2 0 1 |
| 34.76 | 56 | 0 2 2 |
| 49.97 | 39 | 2 2 0 |
| 59.38 | 42 | 0 4 1 |
| 62.31 | 13 | 4 0 2 |
| 73.36 | 6 | 0 4 4 |

Record 6
Structure and calculated powder diffraction line list of AgGeSe4 (a PBE-relaxed structure; Cu Kα (λ = 1.5418 Å)).
Intensities are scaled so that the largest is 100.

abc: 5.7020 6.8159 8.3333
angles: 90.00 111.43 90.00
Space group P2/c (No. 13)
Asymmetric unit:
Ag 0.0000 0.1690 0.2500 [2 per cell]
Ge 0.5000 0.2608 0.7500 [2 per cell]
Se 0.2461 0.4592 0.8647 [4 per cell]
Se 0.2884 0.0021 0.5373 [4 per cell]

Principal peaks in the range 10° ≤ 2θ ≤ 80°, by angle:
| 2θ (°) | intensity | index |
| --- | --- | --- |
| 21.00 | 58 | 1 1 -1 |
| 26.44 | 44 | 1 1 -2 |
| 26.95 | 56 | 1 1 1 |
| 28.61 | 33 | 0 2 1 |
| 33.22 | 46 | 2 0 -2 |
| 35.07 | 71 | 0 2 2 |
| 35.80 | 100 | 1 1 2 |
| 43.21 | 76 | 2 2 0 |
| 46.31 | 59 | 1 3 -2 |
| 48.82 | 40 | 0 1 4 |